The following is a theoretical XRD peak list of PmPuHg5. It was derived from a GGA-PBE-relaxed structure, using Cu Kα (λ = 1.5418 Å).

Atomic structure:
```
data_PmPuHg5
_chemical_formula_sum 'Pm1 Pu1 Hg5'
_cell_length_a 4.3610
_cell_length_b 4.9452
_cell_length_c 8.9693
_cell_angle_alpha 90.00
_cell_angle_beta 90.00
_cell_angle_gamma 90.00
_symmetry_space_group_name_H-M 'P m m m'
_symmetry_Int_Tables_number 47
loop_
_symmetry_equiv_pos_as_xyz
'x,y,z'
'-x,-y,-z'
'-x,-y,z'
'x,y,-z'
'x,-y,-z'
'-x,y,z'
'-x,y,-z'
'x,-y,z'
loop_
_atom_site_label
_atom_site_type_symbol
_atom_site_fract_x
_atom_site_fract_y
_atom_site_fract_z
Pm1 Pm 0.0000 0.0000 0.0000
Pu1 Pu 0.5000 0.5000 0.5000
Hg1 Hg 0.0000 0.5000 0.2465
Hg2 Hg 0.5000 0.0000 0.2755
Hg3 Hg 0.5000 0.5000 0.0000
```

The 10 most intense peaks (2θ = 5–70°), by angle:
d [Å]  I_rel  h k l
4.945  5  0 1 0
2.643  100  1 1 2
2.473  21  0 2 0
2.242  14  0 0 4
2.181  15  2 0 0
1.661  15  0 2 4
1.635  12  2 2 0
1.563  10  2 0 4
1.458  17  1 3 2
1.360  10  1 1 6

The following is a theoretical XRD peak list of MnBeTcPt. It was derived from a GGA-PBE-relaxed structure, using Cu Kα (λ = 1.5418 Å).

Atomic structure:
```
data_MnBeTcPt
_chemical_formula_sum 'Mn4 Be4 Tc4 Pt4'
_cell_length_a 5.8726
_cell_length_b 5.8726
_cell_length_c 5.8726
_cell_angle_alpha 90.00
_cell_angle_beta 90.00
_cell_angle_gamma 90.00
_symmetry_space_group_name_H-M 'F -4 3 m'
_symmetry_Int_Tables_number 216
_symmetry_space_group_name_Hall 'F -4 2 3'
loop_
_atom_site_label
_atom_site_type_symbol
_atom_site_fract_x
_atom_site_fract_y
_atom_site_fract_z
Mn1 Mn 0.0000 0.0000 0.0000
Be1 Be 0.0000 0.0000 0.5000
Tc1 Tc 0.2500 0.2500 0.7500
Pt1 Pt 0.2500 0.2500 0.2500
```

The 7 most intense peaks (2θ = 5–70°), by angle:
d [Å]  I_rel  h k l
3.391  22  1 1 1
2.936  56  2 0 0
2.076  100  2 2 0
1.771  11  3 1 1
1.695  15  2 2 2
1.468  16  4 0 0
1.347  4  3 3 1

The following is a theoretical XRD peak list of La3SmIr. It was derived from a GGA-PBE-relaxed structure, using Cu Kα (λ = 1.5418 Å).

Atomic structure:
```
data_La3SmIr
_chemical_formula_sum 'La6 Sm2 Ir2'
_cell_length_a 7.9805
_cell_length_b 6.7692
_cell_length_c 6.5164
_cell_angle_alpha 90.00
_cell_angle_beta 90.00
_cell_angle_gamma 90.00
_symmetry_space_group_name_H-M 'P m n 21'
_symmetry_Int_Tables_number 31
loop_
_symmetry_equiv_pos_as_xyz
'x,y,z'
'-x+1/2,-y,z+1/2'
'-x,y,z'
'x+1/2,-y,z+1/2'
loop_
_atom_site_label
_atom_site_type_symbol
_atom_site_fract_x
_atom_site_fract_y
_atom_site_fract_z
La1 La 0.0000 0.1492 0.0000
La2 La 0.2491 0.6806 0.9992
Sm1 Sm 0.0000 0.8402 0.5027
Ir1 Ir 0.0000 0.4980 0.2487
```

The 10 most intense peaks (2θ = 5–70°), by angle:
d [Å]  I_rel  h k l
5.047  25  1 0 1
4.046  31  1 1 1
3.040  100  2 1 1
3.004  47  0 2 1
2.365  46  2 1 2
2.347  23  0 2 2
1.994  23  4 0 0
1.964  33  2 3 0
1.836  23  2 1 3
1.662  19  4 2 1

The following is a theoretical XRD peak list of Li2MgGeO4. It was derived from a GGA-PBE-relaxed structure, using Cu Kα (λ = 1.5418 Å).

Atomic structure:
```
data_Li2MgGeO4
_chemical_formula_sum 'Li8 Mg4 Ge4 O16'
_cell_length_a 11.0490
_cell_length_b 5.1887
_cell_length_c 6.4872
_cell_angle_alpha 90.00
_cell_angle_beta 90.00
_cell_angle_gamma 90.00
_symmetry_space_group_name_H-M 'P n a 21'
_symmetry_Int_Tables_number 33
loop_
_symmetry_equiv_pos_as_xyz
'x,y,z'
'-x,-y,z+1/2'
'-x+1/2,y+1/2,z+1/2'
'x+1/2,-y+1/2,z'
loop_
_atom_site_label
_atom_site_type_symbol
_atom_site_fract_x
_atom_site_fract_y
_atom_site_fract_z
Li1 Li 0.0765 0.1992 0.0000
Li2 Li 0.1628 0.8120 0.2496
Mg1 Mg 0.1672 0.8133 0.7440
Ge1 Ge 0.0857 0.3142 0.4970
O1 O 0.0660 0.7955 0.9941
O2 O 0.0892 0.6581 0.5011
O3 O 0.1628 0.1992 0.7206
O4 O 0.1633 0.2041 0.2728
```

The 10 most intense peaks (2θ = 5–70°), by angle:
d [Å]  I_rel  h k l
4.206  100  2 0 1
4.052  95  0 1 1
3.782  28  2 1 0
3.267  23  2 1 1
2.797  51  2 0 2
2.762  26  4 0 0
2.725  24  3 1 1
2.594  42  0 2 0
1.601  31  6 0 2
1.363  22  6 2 2

The following is a theoretical XRD peak list of Li3Ac2Ag12Sn. It was derived from a GGA-PBE-relaxed structure, using Cu Kα (λ = 1.5418 Å).

Atomic structure:
```
data_Li3Ac2Ag12Sn
_chemical_formula_sum 'Li9 Ac6 Ag36 Sn3'
_cell_length_a 6.6740
_cell_length_b 6.6740
_cell_length_c 31.6322
_cell_angle_alpha 90.00
_cell_angle_beta 90.00
_cell_angle_gamma 120.00
_symmetry_space_group_name_H-M 'R -3 m'
_symmetry_Int_Tables_number 166
_symmetry_space_group_name_Hall '-R 3 2"'
loop_
_atom_site_label
_atom_site_type_symbol
_atom_site_fract_x
_atom_site_fract_y
_atom_site_fract_z
Li1 Li 0.0000 0.5000 0.0000
Ac1 Ac 0.0000 0.0000 0.1391
Ag1 Ag 0.0241 0.5121 0.8976
Ag2 Ag 0.0588 0.5294 0.6243
Sn1 Sn 0.0000 0.0000 0.5000
```

The 10 most intense peaks (2θ = 5–70°), by angle:
d [Å]  I_rel  h k l
5.686  26  1 0 1
3.181  44  1 1 3
2.820  28  1 1 6
2.714  100  0 2 4
2.575  47  0 1 11
2.333  58  2 0 8
1.967  26  2 1 7
1.895  22  0 3 3
1.668  30  2 2 0
1.571  22  1 2 14

The following is a theoretical XRD peak list of YEr5Hg2. It was derived from a GGA-PBE-relaxed structure, using Cu Kα (λ = 1.5418 Å).

Atomic structure:
```
data_YEr5Hg2
_chemical_formula_sum 'Y2 Er10 Hg4'
_cell_length_a 3.6999
_cell_length_b 10.0794
_cell_length_c 12.2416
_cell_angle_alpha 90.00
_cell_angle_beta 90.00
_cell_angle_gamma 90.00
_symmetry_space_group_name_H-M 'I m m m'
_symmetry_Int_Tables_number 71
_symmetry_space_group_name_Hall '-I 2 2'
loop_
_atom_site_label
_atom_site_type_symbol
_atom_site_fract_x
_atom_site_fract_y
_atom_site_fract_z
Y1 Y 0.0000 0.0000 0.0000
Er1 Er 0.0000 0.2251 0.3637
Er2 Er 0.0000 0.5000 0.0000
Hg1 Hg 0.0000 0.5000 0.2629
```

The 10 most intense peaks (2θ = 5–70°), by angle:
d [Å]  I_rel  h k l
2.898  69  1 2 1
2.741  61  1 0 3
2.616  100  0 2 4
2.520  42  0 4 0
2.487  34  1 3 0
2.296  28  1 1 4
1.855  31  1 4 3
1.850  21  2 0 0
1.532  29  0 0 8
1.510  66  2 2 4

The following is a theoretical XRD peak list of MnSeBr. It was derived from a GGA-PBE-relaxed structure, using Cu Kα (λ = 1.5418 Å).

Atomic structure:
```
data_MnSeBr
_chemical_formula_sum 'Mn4 Se4 Br4'
_cell_length_a 10.3208
_cell_length_b 10.3208
_cell_length_c 3.5184
_cell_angle_alpha 90.00
_cell_angle_beta 90.00
_cell_angle_gamma 90.00
_symmetry_space_group_name_H-M 'P 42/m'
_symmetry_Int_Tables_number 84
loop_
_symmetry_equiv_pos_as_xyz
'x,y,z'
'-x,-y,-z'
'-y,x,z+1/2'
'y,-x,-z+1/2'
'-x,-y,z'
'x,y,-z'
'y,-x,z+1/2'
'-y,x,-z+1/2'
loop_
_atom_site_label
_atom_site_type_symbol
_atom_site_fract_x
_atom_site_fract_y
_atom_site_fract_z
Mn1 Mn 0.1896 0.2151 0.0000
Se1 Se 0.0601 0.7576 0.0000
Br1 Br 0.2251 0.3861 0.5000
```

The 10 most intense peaks (2θ = 5–70°), by angle:
d [Å]  I_rel  h k l
10.321  55  1 0 0
5.160  100  2 0 0
4.616  24  2 1 0
3.264  77  3 1 0
2.907  80  2 0 1
2.393  27  1 3 1
2.081  34  4 0 1
2.064  17  5 0 0
2.001  44  3 3 1
1.780  20  4 3 1

The following is a theoretical XRD peak list of LiTeBr4. It was derived from a GGA-PBE-relaxed structure, using Cu Kα (λ = 1.5418 Å).

Atomic structure:
```
data_LiTeBr4
_chemical_formula_sum 'Li2 Te2 Br8'
_cell_length_a 6.8639
_cell_length_b 4.4614
_cell_length_c 15.1729
_cell_angle_alpha 90.00
_cell_angle_beta 115.65
_cell_angle_gamma 90.00
_symmetry_space_group_name_H-M 'P 1 21/c 1'
_symmetry_Int_Tables_number 14
loop_
_symmetry_equiv_pos_as_xyz
'x,y,z'
'-x,-y,-z'
'-x,y+1/2,-z+1/2'
'x,-y+1/2,z+1/2'
loop_
_atom_site_label
_atom_site_type_symbol
_atom_site_fract_x
_atom_site_fract_y
_atom_site_fract_z
Li1 Li 0.0000 0.0000 0.0000
Te1 Te 0.5000 0.0000 0.5000
Br1 Br 0.0626 0.0295 0.3912
Br2 Br 0.4374 0.5852 0.6151
```

The 10 most intense peaks (2θ = 5–70°), by angle:
d [Å]  I_rel  h k l
6.839  71  0 0 2
6.187  23  1 0 0
4.241  26  0 1 1
3.298  19  1 1 1
3.266  100  1 1 -3
3.094  41  2 0 0
2.509  43  1 1 -5
2.449  26  2 0 2
2.035  34  3 1 -3
1.957  31  1 1 5